Simulated powder diffractogram of SnHg2S2Br2 for Cu Kα, 1.54184 Å, from a GGA-PBE-relaxed structure.

Peak list (6 most intense, 5° ≤ 2θ ≤ 70°, low angle first)
| d/Å | Position (°2θ) | I (rel.) |
| --- | --- | --- |
| 9.271 | 9.54 | 56 |
| 6.864 | 12.90 | 100 |
| 5.451 | 16.26 | 94 |
| 3.975 | 22.37 | 37 |
| 3.194 | 27.93 | 72 |
| 3.123 | 28.58 | 80 |

Cell and atoms:
```
SnHg2S2Br2
1.0
9.6951 0.0000 0.0000
0.0000 10.2099 0.0000
-3.6266 0.0000 11.8617
Sn Hg S Br
4 8 8 8
Direct
0.1590 0.1493 0.0011
0.1590 0.3507 0.5011
0.8410 0.6493 0.4989
0.8410 0.8507 0.9989
0.2901 0.0810 0.6927
0.2901 0.4190 0.1927
0.4686 0.1494 0.3836
0.4686 0.3506 0.8836
0.5314 0.6494 0.1164
0.5314 0.8506 0.6164
0.7099 0.5810 0.8073
0.7099 0.9190 0.3073
0.2418 0.2418 0.8170
0.2418 0.2582 0.3170
0.3028 0.5509 0.0394
0.3028 0.9491 0.5394
0.6972 0.0509 0.4606
0.6972 0.4491 0.9606
0.7582 0.7418 0.6830
0.7582 0.7582 0.1830
0.0612 0.5561 0.3679
0.0612 0.9439 0.8679
0.4120 0.0436 0.1196
0.4120 0.4564 0.6196
0.5880 0.5436 0.3804
0.5880 0.9564 0.8804
0.9388 0.0561 0.1321
0.9388 0.4439 0.6321
```

=====

Simulated powder diffractogram of GdPSeS3 for Cu Kα, 1.54184 Å, from a GGA-PBE-relaxed structure.

Peak list (6 most intense, 5° ≤ 2θ ≤ 70°, low angle first)
| d/Å | Position (°2θ) | I (rel.) |
| --- | --- | --- |
| 7.554 | 11.71 | 100 |
| 3.263 | 27.33 | 17 |
| 3.033 | 29.45 | 14 |
| 2.973 | 30.06 | 10 |
| 2.918 | 30.63 | 13 |
| 2.693 | 33.27 | 13 |

Cell and atoms:
```
GdPSeS3
1.0
6.5109 0.0000 0.0000
0.2766 6.5276 0.0000
0.4712 0.1506 7.5542
Gd P Se S
2 2 2 6
Direct
0.2032 0.2321 0.0613
0.7968 0.7679 0.9387
0.3008 0.7530 0.8061
0.6992 0.2470 0.1939
0.3657 0.7602 0.0937
0.6343 0.2398 0.9063
0.1044 0.0039 0.7616
0.1136 0.5104 0.7722
0.4392 0.2532 0.3511
0.5608 0.7468 0.6489
0.8864 0.4896 0.2278
0.8956 0.9961 0.2384
```

=====

Simulated powder diffractogram of Zr4Ga3 for Cu Kα, 1.54184 Å, from a GGA-PBE-relaxed structure.

Peak list (6 most intense, 5° ≤ 2θ ≤ 70°, low angle first)
| d/Å | Position (°2θ) | I (rel.) |
| --- | --- | --- |
| 2.703 | 33.14 | 24 |
| 2.349 | 38.32 | 25 |
| 2.343 | 38.42 | 100 |
| 1.773 | 51.54 | 13 |
| 1.561 | 59.20 | 13 |
| 1.355 | 69.35 | 17 |

Cell and atoms:
```
Zr4Ga3
1.0
8.2586 0.0000 0.0000
-4.1293 7.1521 0.0000
0.0000 0.0000 4.6983
Zr Ga
8 6
Direct
0.0033 0.2367 0.2500
0.2334 0.9967 0.2500
0.2367 0.2334 0.7500
0.3333 0.6667 0.2500
0.6667 0.3333 0.7500
0.7633 0.7666 0.2500
0.7666 0.0033 0.7500
0.9967 0.7633 0.7500
0.0740 0.4596 0.7500
0.3855 0.9260 0.7500
0.4596 0.3855 0.2500
0.5404 0.6145 0.7500
0.6145 0.0740 0.2500
0.9260 0.5404 0.2500
```

=====

Simulated powder diffractogram of DyY2Tm4Co2Te2 for Cu Kα, 1.54184 Å, from a GGA-PBE-relaxed structure.

Peak list (6 most intense, 5° ≤ 2θ ≤ 70°, low angle first)
| d/Å | Position (°2θ) | I (rel.) |
| --- | --- | --- |
| 2.919 | 30.63 | 50 |
| 2.678 | 33.46 | 83 |
| 2.625 | 34.15 | 100 |
| 2.579 | 34.78 | 74 |
| 1.921 | 47.32 | 32 |
| 1.561 | 59.18 | 37 |

Cell and atoms:
```
DyY2Tm4Co2Te2
1.0
-1.9211 7.7861 4.6891
1.9211 -7.7861 4.6891
1.9211 7.7861 -4.6891
Dy Y Tm Co Te
1 2 4 2 2
Direct
0.0000 0.0000 0.0000
0.6165 0.2662 0.3504
0.9158 0.2662 0.6496
0.2812 0.4165 0.8647
0.3089 0.6238 0.6851
0.5518 0.4165 0.1353
0.9387 0.6238 0.3149
0.1729 0.9331 0.2398
0.6933 0.9331 0.7602
0.2675 0.7675 0.5000
0.6605 0.6605 0.0000
```

=====

Simulated powder diffractogram of Al2MoPd for Cu Kα, 1.54184 Å, from a GGA-PBE-relaxed structure.

Peak list (5 most intense, 5° ≤ 2θ ≤ 70°, low angle first)
| d/Å | Position (°2θ) | I (rel.) |
| --- | --- | --- |
| 3.625 | 24.56 | 44 |
| 2.220 | 40.65 | 100 |
| 1.893 | 48.07 | 21 |
| 1.569 | 58.84 | 16 |
| 1.440 | 64.72 | 8 |

Cell and atoms:
```
Al2MoPd
1.0
6.2780 0.0000 0.0000
0.0000 6.2780 0.0000
0.0000 0.0000 6.2780
Al Mo Pd
8 4 4
Direct
0.0000 0.0000 0.0000
0.0000 0.5000 0.5000
0.2500 0.2500 0.2500
0.2500 0.7500 0.7500
0.5000 0.0000 0.5000
0.5000 0.5000 0.0000
0.7500 0.2500 0.7500
0.7500 0.7500 0.2500
0.2500 0.2500 0.7500
0.2500 0.7500 0.2500
0.7500 0.2500 0.2500
0.7500 0.7500 0.7500
0.0000 0.0000 0.5000
0.0000 0.5000 0.0000
0.5000 0.0000 0.0000
0.5000 0.5000 0.5000
```

=====

Simulated powder diffractogram of TaNbBi2Os2 for Cu Kα, 1.54184 Å, from a GGA-PBE-relaxed structure.

Peak list (6 most intense, 5° ≤ 2θ ≤ 70°, low angle first)
| d/Å | Position (°2θ) | I (rel.) |
| --- | --- | --- |
| 3.662 | 24.31 | 34 |
| 3.171 | 28.14 | 11 |
| 2.242 | 40.22 | 100 |
| 1.912 | 47.55 | 18 |
| 1.586 | 58.18 | 17 |
| 1.455 | 63.99 | 7 |

Cell and atoms:
```
TaNbBi2Os2
1.0
8.9694 0.0000 0.0000
0.0000 4.4845 0.0000
-4.4847 0.0000 12.6844
Ta Nb Bi Os
4 4 8 8
Direct
0.0000 0.0000 0.0000
0.1250 0.5000 0.7501
0.2498 0.0000 0.5001
0.5001 0.0000 0.0002
0.3749 0.5000 0.2502
0.6253 0.5000 0.7504
0.7505 0.0000 0.5004
0.8753 0.5000 0.2500
0.1251 0.0000 0.2500
0.2502 0.5000 0.0003
0.3756 0.0000 0.7501
0.5007 0.5000 0.5003
0.6252 0.0000 0.2504
0.7501 0.5000 0.0002
0.8745 0.0000 0.7500
0.9995 0.5000 0.4999
0.0622 0.5000 0.1246
0.1874 0.0000 0.8750
0.3115 0.5000 0.6247
0.4368 0.0000 0.3755
0.5624 0.5000 0.1245
0.6881 0.0000 0.8760
0.8138 0.5000 0.6256
0.9387 0.0000 0.3755
```

=====

Simulated powder diffractogram of Ni14Te for Cu Kα, 1.54184 Å, from a GGA-PBE-relaxed structure.

Peak list (6 most intense, 5° ≤ 2θ ≤ 70°, low angle first)
| d/Å | Position (°2θ) | I (rel.) |
| --- | --- | --- |
| 8.696 | 10.17 | 96 |
| 2.069 | 43.75 | 88 |
| 2.032 | 44.59 | 58 |
| 2.028 | 44.69 | 44 |
| 2.010 | 45.09 | 100 |
| 1.935 | 46.96 | 52 |

Cell and atoms:
```
Ni14Te
1.0
4.2775 0.0000 0.0000
0.0083 6.5340 0.0000
0.1072 0.0289 26.0885
Ni Te
28 2
Direct
0.0820 0.1039 0.1403
0.0834 0.3914 0.9637
0.0827 0.5345 0.8761
0.0838 0.2499 0.0513
0.2495 0.0359 0.9780
0.2489 0.3161 0.8042
0.2493 0.7508 0.1554
0.2503 0.8918 0.0660
0.2511 0.1782 0.8900
0.4145 0.3941 0.1699
0.4163 0.6785 0.9924
0.4163 0.9669 0.8172
0.4167 0.5368 0.0802
0.4177 0.8217 0.9049
0.5823 0.1783 0.0951
0.5833 0.4632 0.9198
0.5837 0.0331 0.1828
0.5837 0.3215 0.0076
0.5855 0.6059 0.8301
0.7489 0.8218 0.1100
0.7497 0.1082 0.9340
0.7507 0.2492 0.8446
0.7511 0.6839 0.1958
0.7505 0.9641 0.0220
0.9162 0.7501 0.9487
0.9173 0.4655 0.1239
0.9166 0.6086 0.0363
0.9180 0.8961 0.8597
0.0796 0.6814 0.7789
0.9204 0.3186 0.2211
```